1.
Starting from a DFT-relaxed cell (PBE+U, the Materials Project), the powder XRD pattern of MgZn4Co6O16 was simulated for λ = 1.5418 Å (Cu Kα).
Peak positions follow from Bragg's law for the DFT cell and can differ from measured ones.

Top 6 peaks for 15 to 90 degrees two-theta, by angle:
2θ/deg  d [Å]  I/Imax
32.9  2.725  78
33.1  2.705  52
35.6  2.520  100
35.9  2.504  54
36.2  2.482  69
60.1  1.540  53

Structure:
abc: 5.827 5.889 9.644
angles: 89.57 89.50 60.56
Space group P1 (No. 1)
Asymmetric unit:
Mg 0.000 0.000 0.000 [1 per cell]
Zn 0.310 0.344 0.999 [1 per cell]
Zn 0.330 0.325 0.395 [1 per cell]
Zn 0.648 0.673 0.893 [1 per cell]
Zn 0.672 0.656 0.503 [1 per cell]
Co 0.158 0.663 0.712 [1 per cell]
Co 0.160 0.160 0.705 [1 per cell]
Co 0.326 0.833 0.235 [1 per cell]
Co 0.657 0.160 0.705 [1 per cell]
Co 0.822 0.335 0.223 [1 per cell]
Co 0.825 0.831 0.223 [1 per cell]
O 0.017 0.525 0.839 [1 per cell]
O 0.136 0.176 0.117 [1 per cell]
O 0.142 0.689 0.117 [1 per cell]
O 0.322 0.314 0.599 [1 per cell]
O 0.322 0.799 0.611 [1 per cell]
O 0.437 0.042 0.837 [1 per cell]
O 0.477 0.474 0.836 [1 per cell]
O 0.523 0.958 0.338 [1 per cell]
O 0.527 0.499 0.340 [1 per cell]
O 0.669 0.660 0.115 [1 per cell]
O 0.678 0.155 0.118 [1 per cell]
O 0.829 0.835 0.615 [1 per cell]
O 0.862 0.313 0.608 [1 per cell]
O 0.958 0.516 0.330 [1 per cell]
O 0.970 0.009 0.321 [1 per cell]
O 0.990 0.017 0.809 [1 per cell]

2.
Starting from a DFT-relaxed cell (PBE+U, the Materials Project), the powder XRD pattern of Mn2CuO4 was simulated for λ = 1.5418 Å (Cu Kα).
Peak positions follow from Bragg's law for the DFT cell and can differ from measured ones.

Top 6 peaks for 15 to 90 degrees two-theta, by angle:
2θ/deg  d [Å]  I/Imax
29.0  3.080  48
32.9  2.723  55
33.0  2.713  49
35.4  2.534  74
35.8  2.509  100
60.1  1.540  79

Structure:
abc: 5.810 5.917 9.203
angles: 90.00 90.00 90.00
Space group Imma (No. 74)
Asymmetric unit:
Mn 0.000 0.000 0.000 [4 per cell]
Mn 0.000 0.250 0.351 [4 per cell]
Cu 0.250 0.250 0.750 [4 per cell]
O 0.000 0.026 0.784 [8 per cell]
O 0.224 0.250 0.012 [8 per cell]

3.
Starting from a DFT-relaxed cell (PBE+U, the Materials Project), the powder XRD pattern of SrMg6MnO8 was simulated for λ = 1.5418 Å (Cu Kα).
Peak positions follow from Bragg's law for the DFT cell and can differ from measured ones.

Top 6 peaks for 15 to 90 degrees two-theta, by angle:
2θ/deg  d [Å]  I/Imax
34.7  2.582  45
40.0  2.255  100
41.0  2.201  44
57.8  1.594  30
58.6  1.575  54
73.3  1.291  25

Structure:
abc: 4.510 4.510 8.803
angles: 90.00 90.00 90.00
Space group P4/mmm (No. 123)
Asymmetric unit:
Sr 0.000 0.000 0.000 [1 per cell]
Mg 0.000 0.000 0.500 [1 per cell]
Mg 0.000 0.500 0.263 [4 per cell]
Mg 0.500 0.500 0.500 [1 per cell]
Mn 0.500 0.500 0.000 [1 per cell]
O 0.000 0.000 0.273 [2 per cell]
O 0.000 0.500 0.000 [2 per cell]
O 0.000 0.500 0.500 [2 per cell]
O 0.500 0.500 0.259 [2 per cell]

4.
Starting from a DFT-relaxed cell (PBE+U, the Materials Project), the powder XRD pattern of VNiP2O8 was simulated for λ = 1.5418 Å (Cu Kα).
Peak positions follow from Bragg's law for the DFT cell and can differ from measured ones.

Top 6 peaks for 15 to 90 degrees two-theta, by angle:
2θ/deg  d [Å]  I/Imax
17.9  4.953  91
20.5  4.341  70
25.6  3.478  76
30.7  2.909  100
36.3  2.477  64
36.7  2.452  68

Structure:
abc: 4.798 5.819 9.908
angles: 89.96 89.24 89.99
Space group P1 (No. 1)
Asymmetric unit:
V 0.000 0.000 0.000 [1 per cell]
V 0.103 0.497 0.445 [1 per cell]
Ni 0.500 0.501 0.948 [1 per cell]
Ni 0.603 0.001 0.496 [1 per cell]
P 0.131 0.997 0.312 [1 per cell]
P 0.438 0.001 0.818 [1 per cell]
P 0.666 0.504 0.627 [1 per cell]
P 0.973 0.500 0.132 [1 per cell]
O 0.228 0.998 0.163 [1 per cell]
O 0.272 0.785 0.387 [1 per cell]
O 0.273 0.206 0.389 [1 per cell]
O 0.282 0.202 0.897 [1 per cell]
O 0.283 0.798 0.894 [1 per cell]
O 0.285 0.499 0.119 [1 per cell]
O 0.352 0.506 0.594 [1 per cell]
O 0.391 0.007 0.669 [1 per cell]
O 0.713 0.496 0.776 [1 per cell]
O 0.753 0.999 0.850 [1 per cell]
O 0.819 0.999 0.326 [1 per cell]
O 0.822 0.302 0.547 [1 per cell]
O 0.822 0.706 0.551 [1 per cell]
O 0.831 0.289 0.057 [1 per cell]
O 0.832 0.710 0.056 [1 per cell]
O 0.876 0.502 0.282 [1 per cell]

5.
Starting from a DFT-relaxed cell (PBE+U, the Materials Project), the powder XRD pattern of LiVP3H8O13 was simulated for λ = 1.5418 Å (Cu Kα).
Peak positions follow from Bragg's law for the DFT cell and can differ from measured ones.

Top 6 peaks for 15 to 90 degrees two-theta, by angle:
2θ/deg  d [Å]  I/Imax
15.3  5.799  93
15.9  5.576  87
25.8  3.458  84
26.9  3.315  100
28.3  3.149  95
30.8  2.904  83

Structure:
abc: 7.095 7.757 10.025
angles: 83.72 74.98 78.00
Space group P-1 (No. 2)
Asymmetric unit:
Li 0.000 0.000 0.000 [1 per cell]
Li 0.000 0.500 0.500 [1 per cell]
V 0.199 0.173 0.223 [2 per cell]
P 0.241 0.804 0.476 [2 per cell]
P 0.327 0.802 0.742 [2 per cell]
P 0.405 0.541 0.270 [2 per cell]
H 0.080 0.260 0.795 [2 per cell]
H 0.099 0.659 0.086 [2 per cell]
H 0.144 0.338 0.988 [2 per cell]
H 0.180 0.184 0.569 [2 per cell]
H 0.310 0.305 0.602 [2 per cell]
H 0.313 0.858 0.102 [2 per cell]
H 0.351 0.375 0.994 [2 per cell]
H 0.358 0.982 0.968 [2 per cell]
O 0.025 0.253 0.898 [2 per cell]
O 0.081 0.709 0.559 [2 per cell]
O 0.111 0.853 0.812 [2 per cell]
O 0.174 0.284 0.622 [2 per cell]
O 0.194 0.960 0.381 [2 per cell]
O 0.215 0.373 0.052 [2 per cell]
O 0.239 0.440 0.327 [2 per cell]
O 0.272 0.981 0.063 [2 per cell]
O 0.363 0.858 0.577 [2 per cell]
O 0.380 0.589 0.747 [2 per cell]
O 0.413 0.653 0.137 [2 per cell]
O 0.423 0.659 0.390 [2 per cell]
O 0.475 0.874 0.793 [2 per cell]

6.
Starting from a DFT-relaxed cell (PBE+U, the Materials Project), the powder XRD pattern of LaCeMn2O6 was simulated for λ = 1.5418 Å (Cu Kα).
Peak positions follow from Bragg's law for the DFT cell and can differ from measured ones.

Top 6 peaks for 15 to 90 degrees two-theta, by angle:
2θ/deg  d [Å]  I/Imax
22.3  3.978  35
31.5  2.838  93
32.1  2.788  100
45.6  1.989  54
56.1  1.639  27
56.5  1.629  42

Structure:
abc: 5.6769 5.6769 13.5407
angles: 90.00 90.00 120.00
Space group R32 (No. 155, hexagonal axes)
Asymmetric unit:
La 0.0000 0.0000 0.0000 [3 per cell]
Ce 0.0000 0.0000 0.5000 [3 per cell]
Mn 0.0000 0.0000 0.2506 [6 per cell]
O 0.0000 0.3948 0.5000 [9 per cell]
O 0.0000 0.5845 0.0000 [9 per cell]